Entry 1:
# Pa4TaO10
Theoretical powder diffraction line list, CuKα. Input: DFT lattice parameters and positions (PBE).
Neutral-atom scattering factors, no anomalous dispersion.

Peak list (8 most intense, 2θ from 15° to 90°, in order of rising 2θ)
28.63°, intensity 100.0
29.15°, intensity 30.8
33.33°, intensity 47.6
47.51°, intensity 33.6
48.19°, intensity 28.9
56.41°, intensity 15.6
56.72°, intensity 29.7
76.78°, intensity 12.9

Atomic structure:
Lattice parameters (Å, degrees): 15.475 15.475 15.475 14.21 14.21 14.21
Fractional coordinates of all 15 atoms:
Pa  0.104  0.104  0.104
Pa  0.299  0.299  0.299
Pa  0.701  0.701  0.701
Pa  0.896  0.896  0.896
Ta  0.500  0.500  0.500
O  0.052  0.052  0.052
O  0.154  0.154  0.154
O  0.246  0.246  0.246
O  0.350  0.350  0.350
O  0.454  0.454  0.454
O  0.546  0.546  0.546
O  0.650  0.650  0.650
O  0.754  0.754  0.754
O  0.846  0.846  0.846
O  0.948  0.948  0.948

---

Entry 2:
# PaTa2O6
Theoretical powder diffraction line list, CuKα. Input: DFT lattice parameters and positions (PBE).
Neutral-atom scattering factors, no anomalous dispersion.

Peak list (8 most intense, 2θ from 15° to 90°, in order of rising 2θ)
17.49°, intensity 56.5
20.73°, intensity 41.1
26.07°, intensity 91.7
28.39°, intensity 49.3
33.56°, intensity 100.0
34.50°, intensity 35.8
38.08°, intensity 38.9
49.58°, intensity 95.0

Atomic structure:
Lattice parameters (Å, degrees): 9.250 9.250 5.071 90.00 90.00 120.00
Fractional coordinates of all 27 atoms:
Pa  0.000  0.000  0.000
Pa  0.333  0.667  0.479
Pa  0.667  0.333  0.521
Ta  0.000  0.356  0.000
Ta  0.000  0.644  0.000
Ta  0.356  0.000  0.000
Ta  0.356  0.356  0.000
Ta  0.644  0.000  0.000
Ta  0.644  0.644  0.000
O  0.112  0.556  0.736
O  0.123  0.245  0.801
O  0.123  0.877  0.801
O  0.216  0.432  0.216
O  0.216  0.784  0.216
O  0.245  0.123  0.199
O  0.432  0.216  0.784
O  0.444  0.556  0.736
O  0.444  0.888  0.736
O  0.556  0.112  0.264
O  0.556  0.444  0.264
O  0.568  0.784  0.216
O  0.755  0.877  0.801
O  0.784  0.216  0.784
O  0.784  0.568  0.784
O  0.877  0.123  0.199
O  0.877  0.755  0.199
O  0.888  0.444  0.264

---

Entry 3:
# TbPa2O7
Theoretical powder diffraction line list, CuKα. Input: DFT lattice parameters and positions (PBE).
Neutral-atom scattering factors, no anomalous dispersion.

Peak list (8 most intense, 2θ from 15° to 90°, in order of rising 2θ)
25.51°, intensity 45.5
26.65°, intensity 33.0
27.11°, intensity 100.0
30.13°, intensity 64.0
33.28°, intensity 70.3
46.78°, intensity 58.9
48.77°, intensity 49.7
54.04°, intensity 55.8

Atomic structure:
Lattice parameters (Å, degrees): 10.713 10.713 10.713 20.89 20.89 20.89
Fractional coordinates of all 10 atoms:
Tb  0.000  0.000  0.000
Pa  0.431  0.431  0.431
Pa  0.569  0.569  0.569
O  0.076  0.076  0.076
O  0.219  0.219  0.219
O  0.361  0.361  0.361
O  0.500  0.500  0.500
O  0.639  0.639  0.639
O  0.781  0.781  0.781
O  0.924  0.924  0.924

---

Entry 4:
# Tb2PaO
Theoretical powder diffraction line list, CuKα. Input: DFT lattice parameters and positions (PBE).
Neutral-atom scattering factors, no anomalous dispersion.

Peak list (8 most intense, 2θ from 15° to 90°, in order of rising 2θ)
28.52°, intensity 57.5
31.44°, intensity 100.0
31.93°, intensity 38.6
38.62°, intensity 29.4
40.64°, intensity 68.2
45.18°, intensity 34.1
55.66°, intensity 31.5
63.72°, intensity 37.1

Atomic structure:
Lattice parameters (Å, degrees): 3.303 3.303 28.170 90.00 90.00 120.00
Fractional coordinates of all 12 atoms:
Tb  0.000  0.000  0.115
Tb  0.000  0.000  0.885
Tb  0.333  0.667  0.552
Tb  0.333  0.667  0.782
Tb  0.667  0.333  0.218
Tb  0.667  0.333  0.448
Pa  0.000  0.000  0.000
Pa  0.333  0.667  0.667
Pa  0.667  0.333  0.333
O  0.000  0.000  0.500
O  0.333  0.667  0.167
O  0.667  0.333  0.833

---

Entry 5:
# TbPaTeO6
Theoretical powder diffraction line list, CuKα. Input: DFT lattice parameters and positions (PBE).
Neutral-atom scattering factors, no anomalous dispersion.

Peak list (8 most intense, 2θ from 15° to 90°, in order of rising 2θ)
25.92°, intensity 100.0
31.45°, intensity 47.5
41.19°, intensity 29.8
49.73°, intensity 39.0
52.73°, intensity 29.4
55.99°, intensity 15.6
71.83°, intensity 11.8
78.12°, intensity 10.1

Atomic structure:
Lattice parameters (Å, degrees): 5.690 5.690 9.592 90.00 90.00 120.00
Fractional coordinates of all 18 atoms:
Tb  0.333  0.667  0.250
Tb  0.667  0.333  0.750
Pa  0.000  0.000  0.000
Pa  0.000  0.000  0.500
Te  0.333  0.667  0.750
Te  0.667  0.333  0.250
O  0.013  0.330  0.628
O  0.013  0.683  0.872
O  0.317  0.330  0.872
O  0.317  0.987  0.628
O  0.330  0.013  0.128
O  0.330  0.317  0.372
O  0.670  0.683  0.628
O  0.670  0.987  0.872
O  0.683  0.013  0.372
O  0.683  0.670  0.128
O  0.987  0.317  0.128
O  0.987  0.670  0.372

---

Entry 6:
# PaTe2O11
Theoretical powder diffraction line list, CuKα. Input: DFT lattice parameters and positions (PBE).
Neutral-atom scattering factors, no anomalous dispersion.

Peak list (8 most intense, 2θ from 15° to 90°, in order of rising 2θ)
22.13°, intensity 41.1
22.77°, intensity 40.3
24.61°, intensity 100.0
27.47°, intensity 29.6
28.53°, intensity 44.6
29.52°, intensity 22.1
35.09°, intensity 25.8
50.46°, intensity 19.6

Atomic structure:
Lattice parameters (Å, degrees): 8.078 8.078 7.933 116.41 116.41 78.50
Fractional coordinates of all 28 atoms:
Pa  0.239  0.761  0.000
Pa  0.761  0.239  0.000
Te  0.228  0.228  0.906
Te  0.250  0.250  0.486
Te  0.728  0.728  0.562
Te  0.751  0.751  0.017
O  0.009  0.752  0.091
O  0.015  0.279  0.286
O  0.160  0.160  0.617
O  0.236  0.487  0.978
O  0.249  0.990  0.902
O  0.270  0.509  0.649
O  0.279  0.015  0.286
O  0.328  0.328  0.264
O  0.450  0.450  0.387
O  0.487  0.236  0.978
O  0.488  0.733  0.356
O  0.509  0.270  0.649
O  0.515  0.766  0.025
O  0.655  0.655  0.722
O  0.720  0.986  0.719
O  0.733  0.488  0.356
O  0.752  0.009  0.091
O  0.766  0.515  0.025
O  0.823  0.823  0.375
O  0.945  0.945  0.502
O  0.986  0.720  0.719
O  0.990  0.249  0.902

---

Entry 7:
# PaTeO
Theoretical powder diffraction line list, CuKα. Input: DFT lattice parameters and positions (PBE).
Neutral-atom scattering factors, no anomalous dispersion.

Peak list (8 most intense, 2θ from 15° to 90°, in order of rising 2θ)
26.26°, intensity 29.7
32.47°, intensity 100.0
38.06°, intensity 15.7
46.34°, intensity 27.0
57.72°, intensity 19.9
61.46°, intensity 23.2
65.27°, intensity 13.8
77.03°, intensity 17.3

Atomic structure:
Lattice parameters (Å, degrees): 3.919 3.919 4.729 90.00 90.00 120.00
Fractional coordinates of all 3 atoms:
Pa  0.000  0.000  0.000
Te  0.667  0.333  0.500
O  0.333  0.667  0.000

---

Entry 8:
# PaTe2O8
Theoretical powder diffraction line list, CuKα. Input: DFT lattice parameters and positions (PBE).
Neutral-atom scattering factors, no anomalous dispersion.

Peak list (8 most intense, 2θ from 15° to 90°, in order of rising 2θ)
26.76°, intensity 100.0
26.96°, intensity 86.5
34.92°, intensity 21.0
38.35°, intensity 22.2
47.25°, intensity 21.5
47.38°, intensity 37.8
47.74°, intensity 22.9
55.13°, intensity 20.8

Atomic structure:
Lattice parameters (Å, degrees): 6.663 6.663 4.036 90.00 90.00 120.00
Fractional coordinates of all 11 atoms:
Pa  0.000  0.000  0.000
Te  0.333  0.667  0.256
Te  0.667  0.333  0.744
O  0.167  0.333  0.252
O  0.167  0.833  0.252
O  0.333  0.167  0.748
O  0.333  0.667  0.748
O  0.667  0.333  0.252
O  0.667  0.833  0.252
O  0.833  0.167  0.748
O  0.833  0.667  0.748

---

Entry 9:
# PaTl2Te2O6
Theoretical powder diffraction line list, CuKα. Input: DFT lattice parameters and positions (PBE).
Neutral-atom scattering factors, no anomalous dispersion.

Peak list (8 most intense, 2θ from 15° to 90°, in order of rising 2θ)
24.66°, intensity 81.4
27.67°, intensity 67.3
29.36°, intensity 100.0
29.93°, intensity 86.7
37.40°, intensity 47.3
46.45°, intensity 38.2
46.83°, intensity 31.0
62.24°, intensity 23.1

Atomic structure:
Lattice parameters (Å, degrees): 6.143 6.143 6.710 106.75 106.75 71.97
Fractional coordinates of all 11 atoms:
Pa  0.000  0.000  0.000
Tl  0.203  0.203  0.634
Tl  0.797  0.797  0.366
Te  0.428  0.428  0.206
Te  0.572  0.572  0.794
O  0.147  0.742  0.194
O  0.237  0.237  0.222
O  0.258  0.853  0.806
O  0.742  0.147  0.194
O  0.763  0.763  0.778
O  0.853  0.258  0.806

---

Entry 10:
# ThPaO6
Theoretical powder diffraction line list, CuKα. Input: DFT lattice parameters and positions (PBE).
Neutral-atom scattering factors, no anomalous dispersion.

Peak list (8 most intense, 2θ from 15° to 90°, in order of rising 2θ)
19.44°, intensity 100.0
26.12°, intensity 92.9
27.18°, intensity 46.2
31.48°, intensity 56.0
34.00°, intensity 30.2
46.08°, intensity 30.4
47.38°, intensity 27.1
49.79°, intensity 34.4

Atomic structure:
Lattice parameters (Å, degrees): 10.538 3.994 6.637 90.00 119.91 90.00
Fractional coordinates of all 16 atoms:
Th  0.000  0.000  0.000
Th  0.500  0.500  0.000
Pa  0.000  0.500  0.500
Pa  0.500  0.000  0.500
O  0.063  0.500  0.235
O  0.084  0.000  0.709
O  0.239  0.500  0.767
O  0.261  0.000  0.233
O  0.416  0.500  0.291
O  0.437  0.000  0.765
O  0.563  0.000  0.235
O  0.584  0.500  0.709
O  0.739  0.000  0.767
O  0.761  0.500  0.233
O  0.916  0.000  0.291
O  0.937  0.500  0.765

---

Entry 11:
# ThPaO5
Theoretical powder diffraction line list, CuKα. Input: DFT lattice parameters and positions (PBE).
Neutral-atom scattering factors, no anomalous dispersion.

Peak list (8 most intense, 2θ from 15° to 90°, in order of rising 2θ)
20.45°, intensity 82.9
24.46°, intensity 100.0
25.65°, intensity 50.9
32.09°, intensity 73.6
33.03°, intensity 39.6
44.52°, intensity 25.3
48.85°, intensity 31.5
49.48°, intensity 46.0

Atomic structure:
Lattice parameters (Å, degrees): 4.272 6.945 8.684 90.00 90.00 90.00
Fractional coordinates of all 14 atoms:
Th  0.000  0.000  0.000
Th  0.500  0.500  0.500
Pa  0.000  0.000  0.500
Pa  0.500  0.500  0.000
O  0.000  0.000  0.276
O  0.000  0.000  0.724
O  0.000  0.324  0.000
O  0.000  0.500  0.500
O  0.000  0.676  0.000
O  0.500  0.000  0.000
O  0.500  0.176  0.500
O  0.500  0.500  0.224
O  0.500  0.500  0.776
O  0.500  0.824  0.500

---

Entry 12:
# PaTi3O9
Theoretical powder diffraction line list, CuKα. Input: DFT lattice parameters and positions (PBE).
Neutral-atom scattering factors, no anomalous dispersion.

Peak list (8 most intense, 2θ from 15° to 90°, in order of rising 2θ)
17.32°, intensity 49.7
24.90°, intensity 46.5
26.43°, intensity 61.5
28.75°, intensity 41.5
29.77°, intensity 100.0
31.41°, intensity 39.5
32.13°, intensity 57.2
35.09°, intensity 44.7

Atomic structure:
Lattice parameters (Å, degrees): 5.127 7.406 8.179 90.00 93.32 90.00
Fractional coordinates of all 26 atoms:
Pa  0.031  0.250  0.428
Pa  0.969  0.750  0.572
Ti  0.000  0.000  0.000
Ti  0.000  0.500  0.000
Ti  0.469  0.012  0.701
Ti  0.469  0.488  0.701
Ti  0.531  0.512  0.299
Ti  0.531  0.988  0.299
O  0.093  0.250  0.969
O  0.148  0.571  0.780
O  0.148  0.929  0.780
O  0.248  0.549  0.465
O  0.248  0.951  0.465
O  0.323  0.553  0.118
O  0.323  0.947  0.118
O  0.326  0.250  0.650
O  0.404  0.250  0.315
O  0.596  0.750  0.685
O  0.674  0.750  0.350
O  0.677  0.053  0.882
O  0.677  0.447  0.882
O  0.752  0.049  0.535
O  0.752  0.451  0.535
O  0.852  0.071  0.220
O  0.852  0.429  0.220
O  0.907  0.750  0.031